Structure and simulated powder XRD pattern of Rb3ZrS3 (DFT lattice parameters and positions (GGA-PBE); a wavelength of 1.5418 Å).

Main lines, low angle first (5° ≤ 2θ ≤ 70°):
d_spacing  I (rel.)
3.942  28
3.746  30
3.660  29
3.616  27
3.561  100
3.306  36
3.036  69
2.961  18
2.892  22
2.557  24
2.452  24
2.028  23

Atomic structure:
Cell lengths 9.2715, 8.1958, 13.1322 Å; angles 90.00, 95.32, 90.00 degrees
Space group P2_1/c (No. 14)
Asymmetric unit:
Rb 0.0533 0.1270 0.1450 (multiplicity 4)
Rb 0.3404 0.7060 0.7987 (multiplicity 4)
Rb 0.3822 0.2079 0.9293 (multiplicity 4)
Zr 0.1541 0.5757 0.0578 (multiplicity 4)
S 0.0999 0.0593 0.3870 (multiplicity 4)
S 0.2491 0.6490 0.5314 (multiplicity 4)
S 0.3242 0.0825 0.6701 (multiplicity 4)



Structure and simulated powder XRD pattern of RbSb (DFT lattice parameters and positions (GGA-PBE); a wavelength of 1.5418 Å).

Main lines, low angle first (5° ≤ 2θ ≤ 70°):
d_spacing  I (rel.)
6.498  74
4.868  32
3.600  43
3.342  100
3.300  31
3.199  52
2.982  38
2.970  35
2.804  32
2.765  25
2.626  36
2.572  34

Atomic structure:
Cell lengths 7.3516, 7.4936, 13.0120 Å; angles 90.00, 90.00, 90.00 degrees
Space group P2_12_12_1 (No. 19)
Asymmetric unit:
Rb 0.0964 0.1005 0.4191 (multiplicity 4)
Rb 0.1685 0.3515 0.7911 (multiplicity 4)
Sb 0.0914 0.5550 0.5353 (multiplicity 4)
Sb 0.1699 0.1736 0.1184 (multiplicity 4)



Structure and simulated powder XRD pattern of Rb2SbSe5 (DFT lattice parameters and positions (GGA-PBE); a wavelength of 1.5418 Å).

Main lines, low angle first (5° ≤ 2θ ≤ 70°):
d_spacing  I (rel.)
6.346  49
4.106  30
3.664  23
3.170  22
3.109  28
3.085  21
2.926  100
2.791  15
2.575  36
2.398  14
2.053  23
1.831  33

Atomic structure:
Cell lengths 13.0014, 7.3157, 6.0400 Å; angles 90.00, 102.36, 90.00 degrees
Space group Cm (No. 8)
Asymmetric unit:
Rb 0.0000 0.0000 0.0000 (multiplicity 2)
Rb 0.1528 0.5000 0.4840 (multiplicity 2)
Sb 0.3239 0.0000 0.7626 (multiplicity 2)
Se 0.0189 0.5000 0.9218 (multiplicity 2)
Se 0.2685 0.2510 0.0924 (multiplicity 4)
Se 0.3964 0.2381 0.4305 (multiplicity 4)



Structure and simulated powder XRD pattern of RbSbSe4 (DFT lattice parameters and positions (GGA-PBE); a wavelength of 1.5418 Å).

Main lines, low angle first (5° ≤ 2θ ≤ 70°):
d_spacing  I (rel.)
3.871  37
3.522  83
3.369  53
3.013  100
2.746  28
2.587  31
2.434  19
2.289  65
2.271  27
2.076  21
1.977  21
1.799  23

Atomic structure:
Cell lengths 6.7347, 7.7425, 8.6712 Å; angles 115.76, 112.83, 90.08 degrees
Space group P-1 (No. 2)
Asymmetric unit:
Rb 0.1583 0.2504 0.0005 (multiplicity 2)
Sb 0.0000 0.5000 0.5000 (multiplicity 1)
Sb 0.5000 0.0000 0.5000 (multiplicity 1)
Se 0.0855 0.1259 0.4725 (multiplicity 2)
Se 0.2843 0.5845 0.8791 (multiplicity 2)
Se 0.3881 0.6269 0.4737 (multiplicity 2)
Se 0.4053 0.9160 0.1210 (multiplicity 2)



Structure and simulated powder XRD pattern of Rb2SbSe4 (DFT lattice parameters and positions (GGA-PBE); a wavelength of 1.5418 Å).

Main lines, low angle first (5° ≤ 2θ ≤ 70°):
d_spacing  I (rel.)
7.857  92
3.976  72
3.593  87
3.099  19
2.817  100
2.770  26
2.686  37
2.592  19
2.436  40
2.155  31
2.020  29
1.939  26

Atomic structure:
Cell lengths 8.0576, 4.0407, 8.3208 Å; angles 90.00, 109.22, 90.00 degrees
Space group P2/m (No. 10)
Asymmetric unit:
Rb 0.2068 0.0000 0.3187 (multiplicity 2)
Sb 0.5000 0.5000 0.0000 (multiplicity 1)
Se 0.1079 0.5000 0.9299 (multiplicity 2)
Se 0.4035 0.0000 0.7528 (multiplicity 2)



Structure and simulated powder XRD pattern of Rb3SbSe3 (DFT lattice parameters and positions (GGA-PBE); a wavelength of 1.5418 Å).

Main lines, low angle first (5° ≤ 2θ ≤ 70°):
d_spacing  I (rel.)
7.429  34
6.118  46
3.688  36
3.547  57
3.378  59
3.321  39
3.225  80
2.901  59
2.863  62
2.797  50
2.745  100
1.994  43

Atomic structure:
Cell lengths 13.4279, 5.4896, 14.8574 Å; angles 90.00, 90.00, 90.00 degrees
Space group Pnma (No. 62)
Asymmetric unit:
Rb 0.0599 0.2500 0.1033 (multiplicity 4)
Rb 0.1467 0.7500 0.4867 (multiplicity 4)
Rb 0.2349 0.7500 0.7870 (multiplicity 4)
Sb 0.0564 0.2500 0.6993 (multiplicity 4)
Se 0.0067 0.2500 0.3310 (multiplicity 4)
Se 0.1050 0.2500 0.8719 (multiplicity 4)
Se 0.2317 0.2500 0.6232 (multiplicity 4)